Structure and simulated powder X-ray diffraction pattern of PmDyH (a structure optimized by DFT (PBE); Cu Ka).

Cell and atoms:
abc: 3.3876 3.3876 12.2437
angles: 90.00 90.00 90.00
Fractional coordinates of all 6 atoms:
Pm 0.0000 0.0000 0.0000
Pm 0.5000 0.5000 0.5000
Dy 0.0000 0.0000 0.7110
Dy 0.5000 0.5000 0.2110
H 0.0000 0.0000 0.1870
H 0.5000 0.5000 0.6870

Main lines, in order of falling intensity (10° ≤ 2θ ≤ 90°):
d_spacing	2θ/deg	I/Imax	(hkl)
2.607	34.41	100	1 0 3
3.265	27.32	83	1 0 1
2.395	37.55	48	1 1 0
1.886	48.24	37	1 1 4
3.061	29.17	37	0 0 4
1.554	59.49	36	1 0 7
1.420	65.75	31	2 1 3
1.145	84.63	19	2 1 7
1.503	61.69	17	2 1 1
1.694	54.15	17	2 0 0
1.482	62.69	17	2 0 4
6.122	14.47	15	0 0 2